Calculated powder X-ray diffraction pattern of Zr5Zn4Tc for copper Kα, from the PBE geometry in Alexandria.
Lines closer than 0.1° are merged.

```
data_Zr5Zn4Tc
_chemical_formula_sum 'Zr5 Zn4 Tc1'
_cell_length_a 3.360
_cell_length_b 3.360
_cell_length_c 16.438
_cell_angle_alpha 90.00
_cell_angle_beta 90.00
_cell_angle_gamma 90.00
_symmetry_space_group_name_H-M 'P 4/m m m'
_symmetry_Int_Tables_number 123
_symmetry_space_group_name_Hall '-P 4 2'
loop_
_atom_site_label
_atom_site_fract_x
_atom_site_fract_y
_atom_site_fract_z
Zr1 0.000 0.000 0.000
Zr2 0.000 0.000 0.202
Zr3 0.000 0.000 0.405
Zn1 0.500 0.500 0.100
Zn2 0.500 0.500 0.302
Tc1 0.500 0.500 0.500
```

The 10 most intense peaks (2θ from 10° to 90°), low angle first:
two_theta  I_rel
10.76  1.2
26.53  1.2
37.87  51.9
38.30  100.0
54.63  17.3
55.94  7.9
68.68  33.5
69.54  15.9
80.92  5.2
82.01  9.9

=====

Calculated powder X-ray diffraction pattern of Sn2Au5 for copper Kα, from the PBE geometry in Alexandria.
Lines closer than 0.1° are merged.

```
data_Sn2Au5
_chemical_formula_sum 'Sn8 Au20'
_cell_length_a 14.344
_cell_length_b 6.568
_cell_length_c 6.888
_cell_angle_alpha 90.00
_cell_angle_beta 113.85
_cell_angle_gamma 90.00
_symmetry_space_group_name_H-M 'C 1 2/c 1'
_symmetry_Int_Tables_number 15
_symmetry_space_group_name_Hall '-C 2yc'
loop_
_atom_site_label
_atom_site_fract_x
_atom_site_fract_y
_atom_site_fract_z
Sn1 0.111 0.200 0.122
Au1 0.000 0.427 0.750
Au2 0.112 0.215 0.535
Au3 0.217 0.463 0.922
```

The 10 most intense peaks (2θ from 10° to 90°), low angle first:
two_theta  I_rel
29.66  86.6
32.28  24.9
36.29  28.8
36.89  63.3
37.92  90.8
38.81  100.0
39.54  75.3
41.82  54.8
43.38  33.2
47.41  26.4